# Dy2Al8Fe
Calculated powder diffraction line list, Cu Kα (weighted mean of Kα1 and Kα2). Input: a crystal structure in Alexandria, relaxed with GGA-PBE.
No peak broadening, texture or thermal motion is included.

Top 8 peaks for 10 to 80 degrees two-theta, sorted by position:
- 21.1 deg, I = 95, hkl 1 0 0
- 23.8 deg, I = 25, hkl 0 0 3
- 30.0 deg, I = 28, hkl 1 1 0
- 32.0 deg, I = 54, hkl 1 0 3
- 34.1 deg, I = 46, hkl 1 1 2
- 38.6 deg, I = 100, hkl 1 1 3
- 42.9 deg, I = 50, hkl 2 0 0
- 75.8 deg, I = 26, hkl 3 1 3

Atomic structure:
```
Dy2Al8Fe
1.0
4.212 0.000 0.000
0.000 4.212 0.000
0.000 0.000 11.230
Dy Al Fe
2 8 1
Cartesian
0.000 0.000 2.175
0.000 0.000 9.054
0.000 2.106 0.000
0.000 2.106 4.329
0.000 2.106 6.901
2.106 0.000 0.000
2.106 0.000 4.329
2.106 0.000 6.901
2.106 2.106 2.153
2.106 2.106 9.077
0.000 0.000 5.615
```